Computed powder X-ray diffraction pattern
Compound: La5SiS4
Radiation: λ = 1.5418 Å (Cu Kα)
Structure: a structure optimized by DFT (GGA-PBE)

The 10 most intense peaks (10 to 90 degrees two-theta), by angle:
two_theta  d [Å]  I (rel.)
25.90  3.440  71
30.00  2.979  100
42.94  2.106  73
50.83  1.796  36
53.26  1.720  26
68.67  1.367  15
70.67  1.333  22
70.81  1.331  11
78.64  1.217  16
84.45  1.147  8

Atomic structure:
```
data_La5SiS4
_chemical_formula_sum 'La5 Si1 S4'
_cell_length_a 7.2994
_cell_length_b 7.2994
_cell_length_c 7.2994
_cell_angle_alpha 99.56
_cell_angle_beta 99.56
_cell_angle_gamma 131.91
_symmetry_space_group_name_H-M 'P 1'
_symmetry_Int_Tables_number 1
_symmetry_space_group_name_Hall 'P 1'
loop_
_atom_site_label
_atom_site_fract_x
_atom_site_fract_y
_atom_site_fract_z
La1 0.0000 0.0000 0.0000
La2 0.1996 0.6003 0.7999
La3 0.3997 0.1996 0.5994
La4 0.6003 0.8004 0.4006
La5 0.8004 0.3997 0.2001
Si1 0.5000 0.5000 0.0000
S1 0.1017 0.3012 0.4029
S2 0.3012 0.8983 0.1994
S3 0.6988 0.1017 0.8006
S4 0.8983 0.6988 0.5971
```



Computed powder X-ray diffraction pattern
Compound: Ho3Zn2Ir
Radiation: λ = 1.5418 Å (Cu Kα)
Structure: a structure optimized by DFT (GGA-PBE)

The 10 most intense peaks (10 to 90 degrees two-theta), by angle:
two_theta  d [Å]  I (rel.)
16.92  5.242  7
36.10  2.488  52
36.23  2.479  100
51.98  1.759  18
52.37  1.747  8
65.00  1.435  36
65.25  1.430  17
76.90  1.240  10
87.75  1.112  17
88.40  1.106  7

Atomic structure:
```
data_Ho3Zn2Ir
_chemical_formula_sum 'Ho3 Zn2 Ir1'
_cell_length_a 3.5186
_cell_length_b 3.5186
_cell_length_c 10.4831
_cell_angle_alpha 90.00
_cell_angle_beta 90.00
_cell_angle_gamma 90.00
_symmetry_space_group_name_H-M 'P 1'
_symmetry_Int_Tables_number 1
_symmetry_space_group_name_Hall 'P 1'
loop_
_atom_site_label
_atom_site_fract_x
_atom_site_fract_y
_atom_site_fract_z
Ho1 0.0000 0.0000 0.0000
Ho2 0.0000 0.0000 0.3469
Ho3 0.0000 0.0000 0.6531
Zn1 0.5000 0.5000 0.1675
Zn2 0.5000 0.5000 0.8325
Ir1 0.5000 0.5000 0.5000
```



Computed powder X-ray diffraction pattern
Compound: Tb6PmAl6
Radiation: λ = 1.5418 Å (Cu Kα)
Structure: a structure optimized by DFT (GGA-PBE)

The 10 most intense peaks (10 to 90 degrees two-theta), by angle:
two_theta  d [Å]  I (rel.)
16.73  5.301  25
24.11  3.692  24
30.09  2.970  100
30.69  2.913  38
34.62  2.591  58
38.92  2.314  22
39.64  2.274  19
45.89  1.978  19
53.43  1.715  20
61.02  1.519  33

Atomic structure:
```
data_Tb6PmAl6
_chemical_formula_sum 'Tb6 Pm1 Al6'
_cell_length_a 5.9407
_cell_length_b 5.9407
_cell_length_c 10.6012
_cell_angle_alpha 90.00
_cell_angle_beta 90.00
_cell_angle_gamma 120.00
_symmetry_space_group_name_H-M 'P 1'
_symmetry_Int_Tables_number 1
_symmetry_space_group_name_Hall 'P 1'
loop_
_atom_site_label
_atom_site_fract_x
_atom_site_fract_y
_atom_site_fract_z
Tb1 0.0000 0.0000 0.1673
Tb2 0.0000 0.0000 0.8327
Tb3 0.3333 0.6667 0.0000
Tb4 0.3333 0.6667 0.5000
Tb5 0.6667 0.3333 0.0000
Tb6 0.6667 0.3333 0.5000
Pm1 0.0000 0.0000 0.5000
Al1 0.0000 0.5000 0.2548
Al2 0.0000 0.5000 0.7452
Al3 0.5000 0.0000 0.2548
Al4 0.5000 0.0000 0.7452
Al5 0.5000 0.5000 0.2548
Al6 0.5000 0.5000 0.7452
```



Copy entry 3 word for word.
Computed powder X-ray diffraction pattern
Compound: Tb6PmAl6
Radiation: λ = 1.5418 Å (Cu Kα)
Structure: a structure optimized by DFT (GGA-PBE)

The 10 most intense peaks (10 to 90 degrees two-theta), by angle:
two_theta  d [Å]  I (rel.)
16.73  5.301  25
24.11  3.692  24
30.09  2.970  100
30.69  2.913  38
34.62  2.591  58
38.92  2.314  22
39.64  2.274  19
45.89  1.978  19
53.43  1.715  20
61.02  1.519  33

Atomic structure:
```
data_Tb6PmAl6
_chemical_formula_sum 'Tb6 Pm1 Al6'
_cell_length_a 5.9407
_cell_length_b 5.9407
_cell_length_c 10.6012
_cell_angle_alpha 90.00
_cell_angle_beta 90.00
_cell_angle_gamma 120.00
_symmetry_space_group_name_H-M 'P 1'
_symmetry_Int_Tables_number 1
_symmetry_space_group_name_Hall 'P 1'
loop_
_atom_site_label
_atom_site_fract_x
_atom_site_fract_y
_atom_site_fract_z
Tb1 0.0000 0.0000 0.1673
Tb2 0.0000 0.0000 0.8327
Tb3 0.3333 0.6667 0.0000
Tb4 0.3333 0.6667 0.5000
Tb5 0.6667 0.3333 0.0000
Tb6 0.6667 0.3333 0.5000
Pm1 0.0000 0.0000 0.5000
Al1 0.0000 0.5000 0.2548
Al2 0.0000 0.5000 0.7452
Al3 0.5000 0.0000 0.2548
Al4 0.5000 0.0000 0.7452
Al5 0.5000 0.5000 0.2548
Al6 0.5000 0.5000 0.7452
```



Repeat the first record exactly.
Computed powder X-ray diffraction pattern
Compound: La5SiS4
Radiation: λ = 1.5418 Å (Cu Kα)
Structure: a structure optimized by DFT (GGA-PBE)

The 10 most intense peaks (10 to 90 degrees two-theta), by angle:
two_theta  d [Å]  I (rel.)
25.90  3.440  71
30.00  2.979  100
42.94  2.106  73
50.83  1.796  36
53.26  1.720  26
68.67  1.367  15
70.67  1.333  22
70.81  1.331  11
78.64  1.217  16
84.45  1.147  8

Atomic structure:
```
data_La5SiS4
_chemical_formula_sum 'La5 Si1 S4'
_cell_length_a 7.2994
_cell_length_b 7.2994
_cell_length_c 7.2994
_cell_angle_alpha 99.56
_cell_angle_beta 99.56
_cell_angle_gamma 131.91
_symmetry_space_group_name_H-M 'P 1'
_symmetry_Int_Tables_number 1
_symmetry_space_group_name_Hall 'P 1'
loop_
_atom_site_label
_atom_site_fract_x
_atom_site_fract_y
_atom_site_fract_z
La1 0.0000 0.0000 0.0000
La2 0.1996 0.6003 0.7999
La3 0.3997 0.1996 0.5994
La4 0.6003 0.8004 0.4006
La5 0.8004 0.3997 0.2001
Si1 0.5000 0.5000 0.0000
S1 0.1017 0.3012 0.4029
S2 0.3012 0.8983 0.1994
S3 0.6988 0.1017 0.8006
S4 0.8983 0.6988 0.5971
```